1.
# Sm3Sc4Ga4
Calculated PXRD pattern, Cu Kα, 1.54184 Å. Input: a GGA-PBE-relaxed structure.
Neutral-atom scattering factors, no anomalous dispersion.

Principal peaks in the range 10 to 80 degrees two-theta, in order of rising 2θ:
| 2θ (°) | d (Å) | intensity |
| --- | --- | --- |
| 19.91 | 4.460 | 15.2 |
| 24.44 | 3.642 | 15.3 |
| 31.39 | 2.850 | 43.4 |
| 31.72 | 2.821 | 100.0 |
| 32.49 | 2.756 | 86.7 |
| 34.77 | 2.580 | 14.0 |
| 38.66 | 2.329 | 35.2 |
| 41.08 | 2.197 | 15.4 |
| 47.59 | 1.911 | 17.7 |
| 50.62 | 1.803 | 22.6 |
| 62.95 | 1.477 | 25.1 |
| 72.19 | 1.309 | 14.9 |

Atomic structure:
```
11
Lattice="-2.3288 3.6421 7.7430 2.3288 -3.6421 7.7430 2.3288 3.6421 -7.7430" Properties=species:S:1:pos:R:3 pbc="T T T"
Sm 0.0000 0.0000 0.0000
Sm 2.3288 0.0000 5.9931
Sm 0.0000 3.6421 1.7498
Sc 2.3288 1.5141 -2.6906
Sc 2.3288 1.5141 2.6906
Sc 0.0000 2.1280 5.0524
Sc 0.0000 2.1280 10.4335
Ga 0.0000 0.0000 3.1719
Ga 2.3288 2.2801 0.0000
Ga 0.0000 1.3619 7.7430
Ga 0.0000 0.0000 12.3140
```

2.
# Rb2MnFeC6N6
Calculated PXRD pattern, Cu Kα, 1.54184 Å. Input: a GGA-PBE-relaxed structure.
Neutral-atom scattering factors, no anomalous dispersion.

Principal peaks in the range 10 to 80 degrees two-theta, in order of rising 2θ:
| 2θ (°) | d (Å) | intensity |
| --- | --- | --- |
| 25.10 | 3.548 | 100.0 |
| 30.87 | 2.897 | 16.2 |
| 35.79 | 2.509 | 42.4 |
| 40.19 | 2.244 | 1.4 |
| 44.22 | 2.048 | 31.2 |
| 51.52 | 1.774 | 21.5 |
| 54.90 | 1.672 | 2.3 |
| 58.14 | 1.587 | 26.6 |
| 61.28 | 1.513 | 2.1 |
| 64.32 | 1.448 | 5.6 |
| 70.19 | 1.341 | 23.6 |
| 75.85 | 1.254 | 3.0 |

Atomic structure:
```
16
Lattice="0.0000 5.0172 5.0172 5.0172 0.0000 5.0172 5.0172 5.0172 0.0000" Properties=species:S:1:pos:R:3 pbc="T T T"
Rb 2.5086 2.5086 2.5086
Rb 7.5258 7.5258 7.5258
Mn 0.0000 0.0000 0.0000
Fe 5.0172 5.0172 5.0172
C 5.0172 5.0172 3.1293
C 5.0172 3.1293 5.0172
C 6.9050 5.0172 5.0172
C 3.1293 5.0172 5.0172
C 5.0172 6.9050 5.0172
C 5.0172 5.0172 6.9050
N 5.0172 5.0172 1.9465
N 5.0172 1.9465 5.0172
N 8.0879 5.0172 5.0172
N 1.9465 5.0172 5.0172
N 5.0172 8.0879 5.0172
N 5.0172 5.0172 8.0879
```

3.
# Ta2NiRh
Calculated PXRD pattern, Cu Kα, 1.54184 Å. Input: a GGA-PBE-relaxed structure.
Neutral-atom scattering factors, no anomalous dispersion.

Principal peaks in the range 10 to 80 degrees two-theta, in order of rising 2θ:
| 2θ (°) | d (Å) | intensity |
| --- | --- | --- |
| 23.35 | 3.810 | 23.0 |
| 31.21 | 2.866 | 11.4 |
| 32.02 | 2.795 | 10.5 |
| 39.34 | 2.290 | 100.0 |
| 40.01 | 2.253 | 95.1 |
| 45.32 | 2.001 | 66.6 |
| 47.75 | 1.905 | 28.7 |
| 51.59 | 1.771 | 11.9 |
| 65.09 | 1.433 | 11.3 |
| 66.97 | 1.397 | 10.2 |
| 67.94 | 1.380 | 39.5 |
| 79.22 | 1.209 | 25.6 |

Atomic structure:
```
4
Lattice="2.8661 0.0000 0.0000 0.0000 3.8097 0.0000 0.0000 0.0000 5.5895" Properties=species:S:1:pos:R:3 pbc="T T T"
Ta 0.0000 0.0000 1.3675
Ta 0.0000 0.0000 4.2220
Ni 1.4330 1.9049 0.0000
Rh 1.4330 1.9049 2.7947
```

4.
# Nd6CuRh5
Calculated PXRD pattern, Cu Kα, 1.54184 Å. Input: a GGA-PBE-relaxed structure.
Neutral-atom scattering factors, no anomalous dispersion.

Principal peaks in the range 10 to 80 degrees two-theta, in order of rising 2θ:
| 2θ (°) | d (Å) | intensity |
| --- | --- | --- |
| 35.65 | 2.518 | 100.0 |
| 35.88 | 2.503 | 49.1 |
| 50.97 | 1.792 | 8.9 |
| 51.54 | 1.773 | 8.6 |
| 51.75 | 1.766 | 8.5 |
| 63.90 | 1.457 | 17.9 |
| 64.26 | 1.449 | 17.6 |
| 64.41 | 1.447 | 17.5 |
| 75.42 | 1.260 | 5.5 |
| 75.60 | 1.258 | 5.4 |
| 76.01 | 1.252 | 2.7 |
| 76.08 | 1.251 | 2.7 |

Atomic structure:
```
12
Lattice="5.0041 0.0000 0.0000 0.0000 7.1666 0.0000 -2.4725 0.0000 7.5119" Properties=species:S:1:pos:R:3 pbc="T T T"
Nd 0.0000 1.7593 0.0000
Nd 0.0000 5.4073 0.0000
Nd 0.0173 1.7823 4.9859
Nd 0.0173 5.3843 4.9859
Nd 2.5143 1.7823 2.5260
Nd 2.5143 5.3843 2.5260
Cu 2.5020 3.5833 0.0000
Rh 0.0147 3.5833 2.4621
Rh 0.0150 0.0000 2.5396
Rh 2.5020 0.0000 0.0000
Rh 2.5165 0.0000 4.9722
Rh 2.5169 3.5833 5.0498
```